No. 1
# LiPr2Zn4
Simulated PXRD pattern, Cu Ka. Input: a structure optimized by DFT (PBE).
Lines closer than 0.1° are merged.

Main lines, sorted by position (2θ = 10–90°):
hkl, d [Å], Rel. int.
0 2 0, 7.276, 33
0 0 1, 4.335, 36
0 4 0, 3.638, 19
0 4 1, 2.787, 19
1 3 1, 2.764, 100
2 0 0, 2.664, 45
1 5 1, 2.201, 40
0 0 2, 2.168, 25
2 0 2, 1.681, 22
3 3 1, 1.557, 17

Cell and atoms:
Unit cell a=5.328 b=14.552 c=4.335 alpha=90.00 beta=90.00 gamma=90.00
Space group Cmmm (No. 65)
Symmetry-distinct sites (fractional):
Li  0.000  0.000  0.000 (multiplicity 2)
Pr  0.000  0.339  0.500 (multiplicity 4)
Zn  0.000  0.084  0.500 (multiplicity 4)
Zn  0.000  0.186  0.000 (multiplicity 4)

No. 2
# SrTl2Bi6
Simulated PXRD pattern, Cu Ka. Input: a structure optimized by DFT (PBE).
Lines closer than 0.1° are merged.

Main lines, sorted by position (2θ = 10–90°):
hkl, d [Å], Rel. int.
2 0 1, 3.393, 10
2 0 -2, 2.906, 100
2 2 1, 2.813, 75
3 3 0, 2.207, 18
0 2 3, 2.021, 30
0 6 0, 1.678, 20
3 5 0, 1.660, 27
6 0 0, 1.465, 26
5 5 -2, 1.291, 9
0 0 6, 1.104, 13

Cell and atoms:
Unit cell a=8.926 b=10.076 c=6.727 alpha=90.00 beta=100.23 gamma=90.00
Space group C2/m (No. 12)
Symmetry-distinct sites (fractional):
Sr  0.000  0.000  0.000 (multiplicity 2)
Tl  0.158  0.500  0.659 (multiplicity 4)
Bi  0.000  0.159  0.500 (multiplicity 4)
Bi  0.170  0.329  0.159 (multiplicity 8)

No. 3
# HfBe2Rh3
Simulated PXRD pattern, Cu Ka. Input: a structure optimized by DFT (PBE).
Lines closer than 0.1° are merged.

Main lines, sorted by position (2θ = 10–90°):
hkl, d [Å], Rel. int.
1 0 0, 3.655, 6
1 0 1, 3.444, 33
0 1 2, 2.983, 11
1 0 3, 2.505, 14
1 1 0, 2.109, 100
0 1 5, 1.799, 15
0 2 4, 1.491, 16
0 1 7, 1.368, 10
3 0 0, 1.218, 25
2 0 7, 1.148, 6

Cell and atoms:
Unit cell a=4.2200 b=4.2200 c=10.3229 alpha=90.00 beta=90.00 gamma=120.00
Space group P-3m1 (No. 164)
Symmetry-distinct sites (fractional):
Hf  0.3333  0.6667  0.1780 (multiplicity 2)
Be  0.0000  0.0000  0.0000 (multiplicity 1)
Be  0.0000  0.0000  0.5000 (multiplicity 1)
Be  0.3333  0.6667  0.6569 (multiplicity 2)
Rh  0.0000  0.0000  0.2730 (multiplicity 2)
Rh  0.3333  0.6667  0.4304 (multiplicity 2)
Rh  0.3333  0.6667  0.9166 (multiplicity 2)

No. 4
# InSiAs
Simulated PXRD pattern, Cu Ka. Input: a structure optimized by DFT (PBE).
Lines closer than 0.1° are merged.

Main lines, sorted by position (2θ = 10–90°):
hkl, d [Å], Rel. int.
0 2 0, 6.749, 39
1 1 -1, 3.599, 63
1 3 0, 3.519, 100
0 2 1, 3.388, 38
0 4 0, 3.375, 32
1 1 1, 2.807, 71
2 2 -1, 2.477, 56
2 4 -1, 2.091, 39
1 5 1, 1.966, 44
2 2 1, 1.952, 29

Cell and atoms:
Unit cell a=5.871 b=13.498 c=4.073 alpha=90.00 beta=105.94 gamma=90.00
Space group Cc (No. 9)
Symmetry-distinct sites (fractional):
In  0.000  0.154  0.000 (multiplicity 4)
Si  0.386  0.047  0.233 (multiplicity 4)
As  0.197  0.332  0.886 (multiplicity 4)